(1)
For La3Pm2Th, a DFT-relaxed cell (GGA-PBE, Alexandria) gives the simulated PXRD pattern in this record (Cu Kα).
Lines closer than 0.1° are merged.

Most intense lines, 10° ≤ 2θ ≤ 80°, most intense first:
two_theta, I (rel.)
29.8, 100
34.6, 34
59.0, 29
49.6, 24
34.4, 17
58.8, 14
61.8, 12
49.7, 12
10.2, 5
72.9, 4

Crystal structure
```
La3Pm2Th
1.0
-2.594 5.214 7.787
2.594 -5.214 7.787
2.594 5.214 -7.787
La Pm Th
6 4 2
direct
0.000 0.000 0.000
0.177 0.669 0.508
0.340 0.331 0.008
0.500 0.000 0.500
0.660 0.669 0.992
0.823 0.331 0.492
0.083 0.833 0.250
0.256 0.506 0.750
0.744 0.494 0.250
0.917 0.167 0.750
0.421 0.171 0.250
0.579 0.829 0.750
```

***

(2)
For Er3AlOs, a DFT-relaxed cell (GGA-PBE, Alexandria) gives the simulated PXRD pattern in this record (Cu Kα).
Lines closer than 0.1° are merged.

Most intense lines, 10° ≤ 2θ ≤ 80°, most intense first:
two_theta, I (rel.)
11.1, 100
35.8, 87
41.0, 69
32.4, 66
32.9, 62
36.0, 59
39.1, 40
36.3, 37
19.0, 36
59.1, 30

Crystal structure
```
Er3AlOs
1.0
0.000 4.675 7.936
3.203 0.000 7.936
3.203 4.675 0.000
Er Al Os
6 2 2
direct
0.198 0.198 0.802
0.205 0.581 0.419
0.419 0.795 0.205
0.581 0.205 0.795
0.795 0.419 0.581
0.802 0.802 0.198
0.197 0.803 0.803
0.803 0.197 0.197
0.250 0.250 0.250
0.750 0.750 0.750
```

***

(3)
For Ac4Te4I3, a DFT-relaxed cell (GGA-PBE, Alexandria) gives the simulated PXRD pattern in this record (Cu Kα).
Lines closer than 0.1° are merged.

Most intense lines, 10° ≤ 2θ ≤ 80°, most intense first:
two_theta, I (rel.)
25.4, 100
38.0, 35
18.0, 32
27.8, 30
37.4, 25
33.1, 24
37.5, 21
34.1, 21
26.4, 16
30.2, 16

Crystal structure
```
Ac4Te4I3
1.0
12.847 0.000 0.000
0.000 2.403 7.661
0.000 -2.403 7.661
Ac Te I
4 4 3
direct
0.000 0.000 0.000
0.239 0.725 0.725
0.500 0.063 0.063
0.761 0.725 0.725
0.000 0.649 0.649
0.246 0.078 0.078
0.500 0.711 0.711
0.754 0.078 0.078
0.154 0.371 0.371
0.500 0.417 0.417
0.846 0.371 0.371
```

***

(4)
For DyCdAg, a DFT-relaxed cell (GGA-PBE, Alexandria) gives the simulated PXRD pattern in this record (Cu Kα).
Lines closer than 0.1° are merged.

Most intense lines, 10° ≤ 2θ ≤ 80°, most intense first:
two_theta, I (rel.)
34.3, 100
36.6, 84
51.1, 32
64.5, 31
68.2, 26
66.0, 14
77.9, 9
55.4, 8
20.9, 5
46.0, 2

Crystal structure
```
DyCdAg
1.0
4.905 0.000 0.000
-2.452 4.247 0.000
0.000 0.000 3.319
Dy Cd Ag
1 1 1
direct
0.000 0.000 0.000
0.333 0.667 0.500
0.667 0.333 0.500
```

***

(5)
For Ca2ZnAs2H4O10, a DFT-relaxed cell (GGA-PBE, Alexandria) gives the simulated PXRD pattern in this record (Cu Kα).
Lines closer than 0.1° are merged.

Most intense lines, 10° ≤ 2θ ≤ 80°, most intense first:
two_theta, I (rel.)
28.8, 100
31.7, 89
32.0, 74
17.3, 57
26.2, 52
24.6, 50
31.6, 44
52.7, 44
24.5, 43
13.6, 39

Crystal structure
```
Ca2ZnAs2H4O10
1.0
5.666 0.000 0.000
-2.021 5.638 0.000
-0.868 -2.688 6.506
Ca Zn As H O
2 1 2 4 10
direct
0.148 0.287 0.263
0.852 0.713 0.737
0.500 0.000 0.500
0.175 0.339 0.746
0.825 0.661 0.254
0.346 0.875 0.102
0.423 0.840 0.807
0.577 0.160 0.193
0.654 0.125 0.898
0.094 0.761 0.456
0.142 0.163 0.895
0.218 0.653 0.881
0.423 0.044 0.225
0.431 0.348 0.632
0.569 0.652 0.368
0.577 0.956 0.775
0.782 0.347 0.119
0.858 0.837 0.105
0.906 0.239 0.544
```

***

(6)
For FeCuBr4, a DFT-relaxed cell (GGA-PBE, Alexandria) gives the simulated PXRD pattern in this record (Cu Kα).
Lines closer than 0.1° are merged.

Most intense lines, 10° ≤ 2θ ≤ 80°, most intense first:
two_theta, I (rel.)
26.5, 100
28.1, 62
45.7, 57
24.7, 56
16.8, 55
50.6, 30
53.7, 25
42.2, 24
53.5, 17
21.4, 16

Crystal structure
```
FeCuBr4
1.0
4.743 -4.769 0.000
4.743 4.769 0.000
0.000 0.000 8.558
Fe Cu Br
2 2 8
direct
0.163 0.837 0.750
0.837 0.163 0.250
0.332 0.332 0.000
0.668 0.668 0.500
0.188 0.217 0.243
0.217 0.188 0.757
0.290 0.695 0.983
0.305 0.710 0.517
0.695 0.290 0.017
0.710 0.305 0.483
0.783 0.812 0.257
0.812 0.783 0.743
```

***

(7)
For PHPt, a DFT-relaxed cell (GGA-PBE, Alexandria) gives the simulated PXRD pattern in this record (Cu Kα).
Lines closer than 0.1° are merged.

Most intense lines, 10° ≤ 2θ ≤ 80°, most intense first:
two_theta, I (rel.)
25.9, 100
18.9, 45
42.5, 41
40.6, 34
37.7, 30
51.6, 28
33.1, 22
53.4, 20
78.4, 17
49.4, 14

Crystal structure
```
PHPt
1.0
5.412 0.000 0.000
-2.706 4.687 0.000
0.000 0.000 5.045
P H Pt
3 3 3
direct
0.053 0.370 0.000
0.317 0.947 0.333
0.630 0.683 0.667
0.171 0.696 0.494
0.304 0.475 0.161
0.525 0.829 0.828
0.013 0.774 0.960
0.226 0.239 0.627
0.761 0.987 0.294
```

***

(8)
For Ti4Pd5, a DFT-relaxed cell (GGA-PBE, Alexandria) gives the simulated PXRD pattern in this record (Cu Kα).
Lines closer than 0.1° are merged.

Most intense lines, 10° ≤ 2θ ≤ 80°, most intense first:
two_theta, I (rel.)
38.1, 100
42.9, 81
40.4, 81
73.9, 25
78.5, 19
68.6, 18
34.7, 17
58.9, 16
50.8, 12
33.2, 12

Crystal structure
```
Ti4Pd5
1.0
-1.567 4.269 5.392
1.567 -4.269 5.392
1.567 4.269 -5.392
Ti Pd
4 5
direct
0.032 0.848 0.184
0.336 0.152 0.184
0.664 0.848 0.816
0.968 0.152 0.816
0.000 0.500 0.500
0.294 0.794 0.500
0.343 0.500 0.843
0.657 0.500 0.157
0.706 0.206 0.500
```

***

(9)
For Yb2P4O13, a DFT-relaxed cell (GGA-PBE, Alexandria) gives the simulated PXRD pattern in this record (Cu Kα).
Lines closer than 0.1° are merged.

Most intense lines, 10° ≤ 2θ ≤ 80°, most intense first:
two_theta, I (rel.)
24.9, 100
24.5, 97
14.3, 97
20.2, 91
22.7, 49
36.8, 48
32.3, 47
33.7, 43
35.1, 35
43.6, 35

Crystal structure
```
Yb2P4O13
1.0
3.573 -8.791 0.000
3.573 8.791 0.000
0.000 0.000 8.713
Yb P O
4 8 26
direct
0.103 0.394 0.145
0.394 0.103 0.855
0.606 0.897 0.355
0.897 0.606 0.645
0.082 0.402 0.499
0.223 0.351 0.772
0.351 0.223 0.228
0.402 0.082 0.501
0.598 0.918 0.001
0.649 0.777 0.728
0.777 0.649 0.272
0.918 0.598 0.999
0.016 0.475 0.602
0.077 0.762 0.883
0.097 0.326 0.896
0.120 0.291 0.607
0.238 0.923 0.617
0.244 0.285 0.207
0.273 0.571 0.404
0.285 0.244 0.793
0.291 0.120 0.393
0.326 0.097 0.104
0.412 0.588 0.750
0.429 0.727 0.096
0.475 0.016 0.398
0.525 0.984 0.898
0.571 0.273 0.596
0.588 0.412 0.250
0.674 0.903 0.604
0.709 0.880 0.893
0.715 0.756 0.293
0.727 0.429 0.904
0.756 0.715 0.707
0.762 0.077 0.117
0.880 0.709 0.107
0.903 0.674 0.396
0.923 0.238 0.383
0.984 0.525 0.102
```

***

(10)
For Rb3Nd2BiSe6, a DFT-relaxed cell (GGA-PBE, Alexandria) gives the simulated PXRD pattern in this record (Cu Kα).
Lines closer than 0.1° are merged.

Most intense lines, 10° ≤ 2θ ≤ 80°, most intense first:
two_theta, I (rel.)
27.8, 100
41.3, 37
38.2, 35
11.0, 27
50.5, 19
67.2, 16
57.5, 12
62.9, 12
35.3, 11
73.2, 10

Crystal structure
```
Rb3Nd2BiSe6
1.0
3.788 -6.561 0.000
3.788 6.561 0.000
-2.525 0.000 8.021
Rb Nd Bi Se
3 2 1 6
direct
0.000 0.000 0.000
0.334 0.666 0.000
0.666 0.334 0.000
0.167 0.833 0.500
0.833 0.167 0.500
0.500 0.500 0.500
0.100 0.433 0.299
0.234 0.234 0.701
0.433 0.100 0.299
0.567 0.900 0.701
0.766 0.766 0.299
0.900 0.567 0.701
```

***

(11)
For Sm2Be2SiO7, a DFT-relaxed cell (GGA-PBE, Alexandria) gives the simulated PXRD pattern in this record (Cu Kα).
Lines closer than 0.1° are merged.

Most intense lines, 10° ≤ 2θ ≤ 80°, most intense first:
two_theta, I (rel.)
32.6, 100
26.8, 49
18.2, 49
46.2, 42
54.2, 33
30.2, 30
24.9, 25
55.6, 19
42.6, 19
38.2, 17

Crystal structure
```
Sm2Be2SiO7
1.0
7.451 0.000 0.000
0.000 7.451 0.000
0.000 0.000 4.863
Sm Be Si O
4 4 2 14
direct
0.160 0.340 0.006
0.340 0.840 0.994
0.660 0.160 0.994
0.840 0.660 0.006
0.136 0.636 0.538
0.364 0.136 0.462
0.636 0.864 0.462
0.864 0.364 0.538
0.000 0.000 0.500
0.500 0.500 0.500
0.000 0.500 0.674
0.079 0.836 0.694
0.141 0.641 0.211
0.164 0.079 0.306
0.336 0.579 0.694
0.359 0.141 0.789
0.421 0.336 0.306
0.500 0.000 0.326
0.579 0.664 0.306
0.641 0.859 0.789
0.664 0.421 0.694
0.836 0.921 0.306
0.859 0.359 0.211
0.921 0.164 0.694
```

***

(12)
For Tm2TlTe4, a DFT-relaxed cell (GGA-PBE, Alexandria) gives the simulated PXRD pattern in this record (Cu Kα).
Lines closer than 0.1° are merged.

Most intense lines, 10° ≤ 2θ ≤ 80°, most intense first:
two_theta, I (rel.)
28.4, 100
26.5, 55
30.2, 52
36.8, 52
41.4, 42
21.4, 41
27.7, 32
42.3, 32
41.1, 20
38.7, 19

Crystal structure
```
Tm2TlTe4
1.0
2.136 -7.324 0.000
2.136 7.324 0.000
0.000 0.000 15.172
Tm Tl Te
4 2 8
direct
0.137 0.863 0.561
0.137 0.863 0.939
0.863 0.137 0.061
0.863 0.137 0.439
0.405 0.595 0.750
0.595 0.405 0.250
0.068 0.932 0.750
0.231 0.769 0.118
0.231 0.769 0.382
0.500 0.500 0.000
0.500 0.500 0.500
0.769 0.231 0.618
0.769 0.231 0.882
0.932 0.068 0.250
```

***

Please write out number 10 again, unchanged.
For Rb3Nd2BiSe6, a DFT-relaxed cell (GGA-PBE, Alexandria) gives the simulated PXRD pattern in this record (Cu Kα).
Lines closer than 0.1° are merged.

Most intense lines, 10° ≤ 2θ ≤ 80°, most intense first:
two_theta, I (rel.)
27.8, 100
41.3, 37
38.2, 35
11.0, 27
50.5, 19
67.2, 16
57.5, 12
62.9, 12
35.3, 11
73.2, 10

Crystal structure
```
Rb3Nd2BiSe6
1.0
3.788 -6.561 0.000
3.788 6.561 0.000
-2.525 0.000 8.021
Rb Nd Bi Se
3 2 1 6
direct
0.000 0.000 0.000
0.334 0.666 0.000
0.666 0.334 0.000
0.167 0.833 0.500
0.833 0.167 0.500
0.500 0.500 0.500
0.100 0.433 0.299
0.234 0.234 0.701
0.433 0.100 0.299
0.567 0.900 0.701
0.766 0.766 0.299
0.900 0.567 0.701
```